Diffraction record for Li2GaSbS4. The powder diffraction line list is simulated, not measured: it uses a PBE-relaxed structure and CuKα.

Structure:
Unit cell a=9.058 b=6.566 c=6.034 alpha=90.00 beta=90.00 gamma=90.00
Element x y z (fractional)
Li (0.248, 0.179, 0.000)
Li (0.252, 0.821, 0.500)
Li (0.748, 0.821, 0.500)
Li (0.752, 0.179, 0.000)
Ga (0.000, 0.340, 0.509)
Ga (0.500, 0.660, 0.009)
Sb (0.000, 0.712, 0.988)
Sb (0.500, 0.288, 0.488)
S (0.000, 0.342, 0.899)
S (0.000, 0.681, 0.405)
S (0.214, 0.187, 0.406)
S (0.286, 0.813, 0.906)
S (0.500, 0.319, 0.905)
S (0.500, 0.658, 0.399)
S (0.714, 0.813, 0.906)
S (0.786, 0.187, 0.406)

Most intense lines, 5 to 70 degrees two-theta, low angle first:
two_theta, I (rel.)
19.60, 632
19.99, 1000
23.87, 368
27.16, 415
28.14, 350
29.61, 514
35.76, 252
39.81, 267
40.61, 209
46.06, 278
51.62, 360
55.72, 212


Diffraction record for Ga3PdCl12. The powder diffraction line list is simulated, not measured: it uses a PBE-relaxed structure and CuKα.

Structure:
Unit cell a=12.155 b=12.155 c=12.155 alpha=58.60 beta=58.60 gamma=58.60
Element x y z (fractional)
Ga (0.002, 0.288, 0.710)
Ga (0.210, 0.788, 0.502)
Ga (0.288, 0.710, 0.002)
Ga (0.502, 0.210, 0.788)
Ga (0.710, 0.002, 0.288)
Ga (0.788, 0.502, 0.210)
Pd (0.498, 0.498, 0.498)
Pd (0.998, 0.998, 0.998)
Cl (0.013, 0.771, 0.623)
Cl (0.123, 0.271, 0.513)
Cl (0.137, 0.147, 0.850)
Cl (0.147, 0.842, 0.868)
Cl (0.147, 0.850, 0.137)
Cl (0.240, 0.980, 0.379)
Cl (0.271, 0.513, 0.123)
Cl (0.342, 0.647, 0.368)
Cl (0.350, 0.647, 0.637)
Cl (0.368, 0.342, 0.647)
Cl (0.379, 0.240, 0.980)
Cl (0.480, 0.740, 0.879)
Cl (0.513, 0.123, 0.271)
Cl (0.623, 0.013, 0.771)
Cl (0.637, 0.350, 0.647)
Cl (0.647, 0.368, 0.342)
Cl (0.647, 0.637, 0.350)
Cl (0.740, 0.879, 0.480)
Cl (0.771, 0.623, 0.013)
Cl (0.842, 0.868, 0.147)
Cl (0.850, 0.137, 0.147)
Cl (0.868, 0.147, 0.842)
Cl (0.879, 0.480, 0.740)
Cl (0.980, 0.379, 0.240)

Most intense lines, 5 to 70 degrees two-theta, low angle first:
two_theta, I (rel.)
10.41, 844
14.58, 648
17.33, 1000
17.69, 331
23.60, 197
30.99, 162
31.58, 477
33.12, 162
33.55, 149
43.69, 107
44.76, 215
54.52, 125


Diffraction record for AgPb. The powder diffraction line list is simulated, not measured: it uses a PBE-relaxed structure and CuKα.

Structure:
Unit cell a=4.653 b=4.653 c=16.779 alpha=90.00 beta=90.00 gamma=120.00
Element x y z (fractional)
Ag (0.000, 0.000, 0.194)
Ag (0.000, 0.000, 0.806)
Ag (0.333, 0.667, 0.473)
Ag (0.333, 0.667, 0.860)
Ag (0.667, 0.333, 0.140)
Ag (0.667, 0.333, 0.527)
Pb (0.000, 0.000, 0.396)
Pb (0.000, 0.000, 0.604)
Pb (0.333, 0.667, 0.062)
Pb (0.333, 0.667, 0.271)
Pb (0.667, 0.333, 0.729)
Pb (0.667, 0.333, 0.938)

Most intense lines, 5 to 70 degrees two-theta, low angle first:
two_theta, I (rel.)
22.69, 441
30.77, 356
34.79, 1000
38.70, 767
45.33, 76
50.23, 95
53.01, 300
59.69, 194
61.09, 65
63.99, 135
65.16, 89
67.53, 290


Diffraction record for RbAl6. The powder diffraction line list is simulated, not measured: it uses a PBE-relaxed structure and CuKα.

Structure:
Unit cell a=7.449 b=7.449 c=7.449 alpha=90.00 beta=90.00 gamma=90.00
Element x y z (fractional)
Rb (0.000, 0.000, 0.000)
Rb (0.500, 0.500, 0.500)
Al (0.000, 0.250, 0.500)
Al (0.000, 0.500, 0.250)
Al (0.000, 0.500, 0.750)
Al (0.000, 0.750, 0.500)
Al (0.250, 0.000, 0.500)
Al (0.250, 0.500, 0.000)
Al (0.500, 0.000, 0.250)
Al (0.500, 0.000, 0.750)
Al (0.500, 0.250, 0.000)
Al (0.500, 0.750, 0.000)
Al (0.750, 0.000, 0.500)
Al (0.750, 0.500, 0.000)

Most intense lines, 5 to 70 degrees two-theta, low angle first:
two_theta, I (rel.)
16.83, 81
23.89, 429
29.37, 1000
34.04, 18
38.21, 26
42.02, 35
45.56, 573
48.91, 181
55.14, 161
58.08, 138
63.70, 17
69.06, 164


Diffraction record for NaTl5In7. The powder diffraction line list is simulated, not measured: it uses a PBE-relaxed structure and CuKα.

Structure:
Unit cell a=8.549 b=8.549 c=5.622 alpha=102.67 beta=102.67 gamma=74.79
Element x y z (fractional)
Na (0.000, 0.000, 0.000)
Tl (0.029, 0.600, 0.718)
Tl (0.046, 0.393, 0.140)
Tl (0.393, 0.046, 0.140)
Tl (0.600, 0.029, 0.718)
Tl (0.788, 0.788, 0.226)
In (0.188, 0.188, 0.631)
In (0.224, 0.806, 0.509)
In (0.379, 0.666, 0.036)
In (0.403, 0.403, 0.484)
In (0.638, 0.638, 0.621)
In (0.666, 0.379, 0.036)
In (0.806, 0.224, 0.509)

Most intense lines, 5 to 70 degrees two-theta, low angle first:
two_theta, I (rel.)
13.56, 336
27.32, 196
29.69, 532
30.41, 194
32.17, 628
32.45, 1000
32.77, 592
33.12, 463
34.39, 579
38.47, 206
56.27, 280
56.63, 252